Structure and calculated X-ray powder pattern of Zr4Sc2Tl3C3 (DFT lattice parameters and positions (GGA-PBE); CuKα).

Structural model:
```
data_Zr4Sc2Tl3C3
_cell_length_a 10.138
_cell_length_b 5.856
_cell_length_c 15.573
_cell_angle_alpha 90.00
_cell_angle_beta 102.58
_cell_angle_gamma 90.00
_symmetry_space_group_name_H-M 'C 1 2/c 1'
_symmetry_Int_Tables_number 15
_symmetry_space_group_name_Hall '-C 2yc'
loop_
_atom_site_label
_atom_site_type_symbol
_atom_site_fract_x
_atom_site_fract_y
_atom_site_fract_z
_atom_site_occupancy
Zr1 Zr 0.110 0.087 0.081 1
Zr2 Zr 0.225 0.082 0.419 1
Sc1 Sc 0.054 0.418 0.918 1
Tl1 Tl 0.000 0.076 0.750 1
Tl2 Tl 0.170 0.414 0.251 1
C1 C 0.085 0.246 0.500 1
C2 C 0.250 0.250 0.000 1
```

The 10 most intense peaks (10 to 80 degrees two-theta), sorted by position:
2theta	d_spacing	intensity	(hkl)
11.64	7.600	20	0 0 2
23.42	3.799	9	0 0 4
30.54	2.927	18	0 2 0
31.12	2.874	14	3 1 0
35.42	2.534	100	0 0 6
47.47	1.915	13	0 2 6
54.28	1.690	17	6 0 -2
63.60	1.463	17	3 1 -10
66.50	1.406	27	6 0 -8
74.96	1.267	5	0 0 12


Structure and calculated X-ray powder pattern of AlFe2Pb (DFT lattice parameters and positions (GGA-PBE); CuKα).

Structural model:
```
data_AlFe2Pb
_cell_length_a 6.326
_cell_length_b 6.326
_cell_length_c 6.326
_cell_angle_alpha 90.00
_cell_angle_beta 90.00
_cell_angle_gamma 90.00
_symmetry_space_group_name_H-M 'P m -3 m'
_symmetry_Int_Tables_number 221
_symmetry_space_group_name_Hall '-P 4 2 3'
loop_
_atom_site_label
_atom_site_type_symbol
_atom_site_fract_x
_atom_site_fract_y
_atom_site_fract_z
_atom_site_occupancy
Al1 Al 0.000 0.000 0.000 1
Al2 Al 0.000 0.000 0.500 1
Fe1 Fe 0.216 0.216 0.216 1
Pb1 Pb 0.000 0.500 0.500 1
Pb2 Pb 0.500 0.500 0.500 1
```

The 10 most intense peaks (10 to 80 degrees two-theta), sorted by position:
2theta	d_spacing	intensity	(hkl)
14.00	6.326	21	1 0 0
24.37	3.652	18	1 1 1
28.22	3.163	18	2 0 0
31.63	2.829	44	2 1 0
40.33	2.236	100	2 2 0
42.89	2.109	17	3 0 0
58.35	1.581	15	4 0 0
60.33	1.534	15	3 2 2
66.05	1.414	13	4 2 0
73.32	1.291	28	4 2 2


Structure and calculated X-ray powder pattern of SmY2Ge4Pd4 (DFT lattice parameters and positions (GGA-PBE); CuKα).

Structural model:
```
data_SmY2Ge4Pd4
_cell_length_a 4.195
_cell_length_b 7.161
_cell_length_c 14.058
_cell_angle_alpha 90.00
_cell_angle_beta 90.00
_cell_angle_gamma 90.00
_symmetry_space_group_name_H-M 'I m m m'
_symmetry_Int_Tables_number 71
_symmetry_space_group_name_Hall '-I 2 2'
loop_
_atom_site_label
_atom_site_type_symbol
_atom_site_fract_x
_atom_site_fract_y
_atom_site_fract_z
_atom_site_occupancy
Sm1 Sm 0.000 0.000 0.000 1
Y1 Y 0.000 0.500 0.126 1
Ge1 Ge 0.000 0.000 0.219 1
Ge2 Ge 0.000 0.186 0.500 1
Pd1 Pd 0.000 0.299 0.324 1
```

The 10 most intense peaks (10 to 80 degrees two-theta), sorted by position:
2theta	d_spacing	intensity	(hkl)
33.52	2.674	100	1 2 1
34.26	2.617	28	0 1 5
35.61	2.521	75	1 1 4
38.23	2.354	20	1 2 3
38.42	2.343	23	0 0 6
42.50	2.127	36	0 3 3
43.13	2.097	43	2 0 0
46.42	1.956	32	1 2 5
56.22	1.636	17	2 1 5
62.16	1.493	23	2 3 3


Structure and calculated X-ray powder pattern of Pr4CICl2F2 (DFT lattice parameters and positions (GGA-PBE); CuKα).

Structural model:
```
data_Pr4CICl2F2
_cell_length_a 15.945
_cell_length_b 3.924
_cell_length_c 8.893
_cell_angle_alpha 90.00
_cell_angle_beta 110.20
_cell_angle_gamma 90.00
_symmetry_space_group_name_H-M 'C 1 2/m 1'
_symmetry_Int_Tables_number 12
_symmetry_space_group_name_Hall '-C 2y'
loop_
_atom_site_label
_atom_site_type_symbol
_atom_site_fract_x
_atom_site_fract_y
_atom_site_fract_z
_atom_site_occupancy
Pr1 Pr 0.005 0.000 0.307 1
Pr2 Pr 0.166 0.500 0.601 1
C1 C 0.000 0.500 0.500 1
I1 I 0.000 0.500 0.000 1
Cl1 Cl 0.188 0.000 0.836 1
F1 F 0.177 0.000 0.431 1
```

The 10 most intense peaks (10 to 80 degrees two-theta), sorted by position:
2theta	d_spacing	intensity	(hkl)
10.60	8.346	50	0 0 1
11.83	7.482	36	2 0 0
18.46	4.807	26	2 0 1
22.44	3.962	28	4 0 -1
28.64	3.117	34	3 1 -1
28.95	3.084	22	3 1 0
30.42	2.939	100	1 1 -2
33.04	2.711	37	3 1 1
36.01	2.494	38	6 0 0
46.65	1.947	31	7 1 -2


Structure and calculated X-ray powder pattern of PrSm2Tl3Ni3 (DFT lattice parameters and positions (GGA-PBE); CuKα).

Structural model:
```
data_PrSm2Tl3Ni3
_cell_length_a 3.872
_cell_length_b 13.283
_cell_length_c 7.683
_cell_angle_alpha 90.00
_cell_angle_beta 90.00
_cell_angle_gamma 90.00
_symmetry_space_group_name_H-M 'A m m 2'
_symmetry_Int_Tables_number 38
_symmetry_space_group_name_Hall 'A 2 -2'
loop_
_atom_site_label
_atom_site_type_symbol
_atom_site_fract_x
_atom_site_fract_y
_atom_site_fract_z
_atom_site_occupancy
Pr1 Pr 0.000 0.000 0.000 1
Sm1 Sm 0.000 0.204 0.613 1
Tl1 Tl 0.500 0.000 0.663 1
Tl2 Tl 0.500 0.130 0.282 1
Ni1 Ni 0.000 0.000 0.409 1
Ni2 Ni 0.500 0.168 0.909 1
```

The 10 most intense peaks (10 to 80 degrees two-theta), sorted by position:
2theta	d_spacing	intensity	(hkl)
23.18	3.838	13	0 3 1
32.86	2.726	100	1 3 1
35.60	2.522	57	1 2 2
35.74	2.513	61	0 4 2
40.72	2.216	22	0 6 0
42.91	2.108	20	1 4 2
46.93	1.936	19	2 0 0
55.18	1.665	16	1 2 4
60.36	1.534	27	2 4 2
65.82	1.419	28	1 7 3


Structure and calculated X-ray powder pattern of CdNi3H (DFT lattice parameters and positions (GGA-PBE); CuKα).

Structural model:
```
data_CdNi3H
_cell_length_a 3.742
_cell_length_b 3.742
_cell_length_c 3.762
_cell_angle_alpha 90.00
_cell_angle_beta 90.00
_cell_angle_gamma 90.00
_symmetry_space_group_name_H-M 'P 4/m m m'
_symmetry_Int_Tables_number 123
_symmetry_space_group_name_Hall '-P 4 2'
loop_
_atom_site_label
_atom_site_type_symbol
_atom_site_fract_x
_atom_site_fract_y
_atom_site_fract_z
_atom_site_occupancy
Cd1 Cd 0.000 0.000 0.000 1
Ni1 Ni 0.000 0.500 0.500 1
Ni2 Ni 0.500 0.500 0.000 1
H1 H 0.500 0.500 0.500 1
```

The 10 most intense peaks (10 to 80 degrees two-theta), sorted by position:
2theta	d_spacing	intensity	(hkl)
23.65	3.762	3	0 0 1
23.78	3.742	5	1 0 0
33.82	2.651	7	1 1 0
41.74	2.164	100	1 1 1
48.39	1.881	16	0 0 2
48.67	1.871	32	2 0 0
54.83	1.674	2	2 1 0
60.56	1.529	2	2 1 1
71.07	1.326	19	2 0 2
71.29	1.323	9	2 2 0


Structure and calculated X-ray powder pattern of Ho2Ga2PdPt3 (DFT lattice parameters and positions (GGA-PBE); CuKα).

Structural model:
```
data_Ho2Ga2PdPt3
_cell_length_a 4.3837
_cell_length_b 4.3837
_cell_length_c 9.0597
_cell_angle_alpha 90.00
_cell_angle_beta 90.00
_cell_angle_gamma 120.00
_symmetry_space_group_name_H-M 'P 3 m 1'
_symmetry_Int_Tables_number 156
_symmetry_space_group_name_Hall 'P 3 -2"'
loop_
_atom_site_label
_atom_site_type_symbol
_atom_site_fract_x
_atom_site_fract_y
_atom_site_fract_z
_atom_site_occupancy
Ho1 Ho 0.0000 0.0000 0.0000 1
Ho2 Ho 0.3333 0.6667 0.4968 1
Ga1 Ga 0.6667 0.3333 0.2500 1
Ga2 Ga 0.6667 0.3333 0.7536 1
Pd1 Pd 0.0000 0.0000 0.6648 1
Pt1 Pt 0.0000 0.0000 0.3368 1
Pt2 Pt 0.3333 0.6667 0.1639 1
Pt3 Pt 0.3333 0.6667 0.8304 1
```

The 10 most intense peaks (10 to 80 degrees two-theta), sorted by position:
2theta	d_spacing	intensity	(hkl)
23.43	3.796	30	1 0 0
30.73	2.910	7	0 1 2
38.08	2.363	100	0 1 3
41.19	2.192	70	1 1 0
47.92	1.898	5	2 0 0
57.33	1.607	31	2 0 3
66.66	1.403	11	1 0 6
73.00	1.296	30	1 2 3
75.06	1.265	12	3 0 0
76.63	1.243	13	1 1 6


Structure and calculated X-ray powder pattern of KZn5F2 (DFT lattice parameters and positions (GGA-PBE); CuKα).

Structural model:
```
data_KZn5F2
_cell_length_a 4.045
_cell_length_b 4.045
_cell_length_c 9.993
_cell_angle_alpha 90.00
_cell_angle_beta 90.00
_cell_angle_gamma 90.00
_symmetry_space_group_name_H-M 'P 4/m m m'
_symmetry_Int_Tables_number 123
_symmetry_space_group_name_Hall '-P 4 2'
loop_
_atom_site_label
_atom_site_type_symbol
_atom_site_fract_x
_atom_site_fract_y
_atom_site_fract_z
_atom_site_occupancy
K1 K 0.000 0.000 0.000 1
Zn1 Zn 0.000 0.500 0.256 1
Zn2 Zn 0.500 0.500 0.000 1
F1 F 0.500 0.500 0.368 1
```

The 10 most intense peaks (10 to 80 degrees two-theta), sorted by position:
2theta	d_spacing	intensity	(hkl)
17.75	4.996	29	0 0 2
26.76	3.331	12	0 0 3
35.95	2.498	21	0 0 4
36.19	2.482	100	1 1 2
44.82	2.022	33	2 0 0
48.38	1.882	12	1 1 4
58.74	1.572	19	2 0 4
64.78	1.439	17	1 1 6
65.24	1.430	10	2 2 0
76.95	1.239	19	3 1 2


Structure and calculated X-ray powder pattern of ErTmGeCl2 (DFT lattice parameters and positions (GGA-PBE); CuKα).

Structural model:
```
data_ErTmGeCl2
_cell_length_a 4.023
_cell_length_b 4.023
_cell_length_c 10.816
_cell_angle_alpha 81.62
_cell_angle_beta 79.99
_cell_angle_gamma 60.00
_symmetry_space_group_name_H-M 'P 1'
_symmetry_Int_Tables_number 1
_symmetry_space_group_name_Hall 'P 1'
loop_
_atom_site_label
_atom_site_type_symbol
_atom_site_fract_x
_atom_site_fract_y
_atom_site_fract_z
_atom_site_occupancy
Er1 Er 0.000 0.000 0.000 1
Tm1 Tm 0.775 0.730 0.700 1
Ge1 Ge 0.388 0.365 0.850 1
Cl1 Cl 0.161 0.094 0.554 1
Cl2 Cl 0.614 0.636 0.147 1
```

The 10 most intense peaks (10 to 80 degrees two-theta), sorted by position:
2theta	d_spacing	intensity	(hkl)
25.79	3.455	38	1 1 1
28.83	3.097	70	1 1 -1
29.09	3.069	76	1 0 2
29.73	3.005	87	0 1 2
33.66	2.662	78	1 1 -2
34.02	2.635	63	1 0 3
34.90	2.571	50	0 1 3
44.32	2.044	33	0 1 -4
45.09	2.011	100	2 1 1
45.43	1.996	33	1 0 -4


Structure and calculated X-ray powder pattern of KTePdAuSe2 (DFT lattice parameters and positions (GGA-PBE); CuKα).

Structural model:
```
data_KTePdAuSe2
_cell_length_a 3.770
_cell_length_b 16.529
_cell_length_c 10.786
_cell_angle_alpha 90.00
_cell_angle_beta 90.00
_cell_angle_gamma 90.00
_symmetry_space_group_name_H-M 'C m c m'
_symmetry_Int_Tables_number 63
_symmetry_space_group_name_Hall '-C 2c 2'
loop_
_atom_site_label
_atom_site_type_symbol
_atom_site_fract_x
_atom_site_fract_y
_atom_site_fract_z
_atom_site_occupancy
K1 K 0.000 0.232 0.250 1
Te1 Te 0.000 0.448 0.750 1
Pd1 Pd 0.000 0.500 0.000 1
Au1 Au 0.000 0.106 0.750 1
Se1 Se 0.000 0.104 0.522 1
```

The 10 most intense peaks (10 to 80 degrees two-theta), sorted by position:
2theta	d_spacing	intensity	(hkl)
10.70	8.264	100	0 2 0
13.50	6.560	28	0 2 1
28.69	3.111	35	1 3 0
29.89	2.989	66	1 3 1
33.22	2.697	40	0 0 4
36.14	2.485	32	1 5 0
38.26	2.353	20	1 3 3
44.46	2.038	20	1 3 4
49.90	1.828	23	1 5 4
51.55	1.773	21	1 3 5


Structure and calculated X-ray powder pattern of Zr4InGaN2 (DFT lattice parameters and positions (GGA-PBE); CuKα).

Structural model:
```
data_Zr4InGaN2
_cell_length_a 3.2886
_cell_length_b 3.2886
_cell_length_c 14.4547
_cell_angle_alpha 90.00
_cell_angle_beta 90.00
_cell_angle_gamma 120.00
_symmetry_space_group_name_H-M 'P -6 m 2'
_symmetry_Int_Tables_number 187
_symmetry_space_group_name_Hall 'P -6 2'
loop_
_atom_site_label
_atom_site_type_symbol
_atom_site_fract_x
_atom_site_fract_y
_atom_site_fract_z
_atom_site_occupancy
Zr1 Zr 0.0000 0.0000 0.1544 1
Zr2 Zr 0.3333 0.6667 0.3290 1
In1 In 0.0000 0.0000 0.5000 1
Ga1 Ga 0.3333 0.6667 0.0000 1
N1 N 0.6667 0.3333 0.2422 1
```

The 10 most intense peaks (10 to 80 degrees two-theta), sorted by position:
2theta	d_spacing	intensity	(hkl)
31.41	2.848	21	1 0 0
33.83	2.650	3	1 0 2
36.65	2.452	100	1 0 3
37.33	2.409	18	0 0 6
49.56	1.839	15	1 0 6
55.92	1.644	21	1 1 0
66.88	1.399	14	1 0 9
68.74	1.366	15	2 0 3
69.17	1.358	17	1 1 6
77.94	1.226	4	2 0 6


Structure and calculated X-ray powder pattern of Dy2Er2Tm2LuNi2Te2 (DFT lattice parameters and positions (GGA-PBE); CuKα).

Structural model:
```
data_Dy2Er2Tm2LuNi2Te2
_cell_length_a 3.825
_cell_length_b 15.438
_cell_length_c 9.494
_cell_angle_alpha 90.00
_cell_angle_beta 90.00
_cell_angle_gamma 90.00
_symmetry_space_group_name_H-M 'I m m 2'
_symmetry_Int_Tables_number 44
_symmetry_space_group_name_Hall 'I 2 -2'
loop_
_atom_site_label
_atom_site_type_symbol
_atom_site_fract_x
_atom_site_fract_y
_atom_site_fract_z
_atom_site_occupancy
Dy1 Dy 0.000 0.134 0.000 1
Er1 Er 0.000 0.354 0.147 1
Tm1 Tm 0.000 0.315 0.795 1
Lu1 Lu 0.000 0.000 0.418 1
Ni1 Ni 0.000 0.236 0.487 1
Te1 Te 0.000 0.000 0.756 1
Te2 Te 0.000 0.500 0.653 1
```

The 10 most intense peaks (10 to 80 degrees two-theta), sorted by position:
2theta	d_spacing	intensity	(hkl)
29.09	3.070	24	1 3 0
30.44	2.936	23	0 5 1
30.57	2.924	54	1 1 2
33.23	2.696	82	0 3 3
34.33	2.612	100	1 4 1
34.83	2.576	76	0 6 0
36.86	2.438	25	1 0 3
47.55	1.912	30	2 0 0
51.57	1.772	18	1 7 2
59.24	1.560	31	2 3 3